Entry 1:
Structure and simulated PXRD pattern of LiFe2P2O8 (DFT lattice parameters and positions (GGA+U); Cu Kα, 1.54184 Å).
Kinematic intensities with the Lorentz-polarization factor, no thermal factor.

Main lines, in order of falling intensity (2θ = 10–90°):
Position (°2θ), I (rel.), (hkl)
34.5, 100, 1 2 1
24.2, 50, 1 1 1
19.7, 45, 1 0 1
37.0, 43, 1 0 3
33.1, 37, 2 0 0
64.2, 31, 2 2 4
25.9, 30, 0 1 2
49.5, 26, 2 2 2
43.9, 25, 2 2 0
21.8, 23, 0 0 2

Structural model:
```
LiFe2P2O8
1.0
5.4148 0.0000 0.0000
0.0000 6.3660 0.0000
0.0000 0.0000 8.1566
Li Fe P O
2 4 4 16
Cartesian
0.0000 0.0429 0.0000
2.7074 6.3231 4.0783
0.0000 1.6701 2.7265
0.0000 4.7200 2.6892
2.7074 1.6461 6.7675
2.7074 4.6959 6.8048
0.0000 3.2629 7.9919
0.0000 6.2837 5.4925
2.7074 0.0823 1.4142
2.7074 3.1031 3.9135
0.0000 1.1905 4.6388
0.0000 1.9742 0.7010
0.0000 4.5416 0.6792
0.0000 5.0357 4.6490
1.2573 6.2873 6.4665
1.2757 3.2676 7.0773
1.4317 3.0984 2.9990
1.4501 0.0788 2.3881
2.7074 1.3303 0.5707
2.7074 1.8245 4.7575
2.7074 4.3918 4.7793
2.7074 5.1755 0.5605
3.9647 0.0788 2.3881
3.9830 3.0984 2.9990
4.1391 3.2676 7.0773
4.1575 6.2873 6.4665
```

=====

Entry 2:
Structure and simulated PXRD pattern of LiFePO4 (DFT lattice parameters and positions (GGA+U); Cu Kα, 1.54184 Å).
Kinematic intensities with the Lorentz-polarization factor, no thermal factor.

Main lines, in order of falling intensity (2θ = 10–90°):
Position (°2θ), I (rel.), (hkl)
32.8, 100, 2 3 1
18.9, 82, 0 1 1
32.1, 80, 0 5 1
24.1, 78, 0 3 1
28.7, 78, 2 0 1
30.0, 74, 1 4 1
22.0, 71, 2 0 0
22.6, 68, 2 1 0
26.5, 65, 1 3 1
29.2, 43, 2 1 1

Structural model:
```
LiFePO4
1.0
8.0783 0.0000 0.0000
0.0000 16.9999 0.0000
0.0000 0.0000 4.8785
Li Fe P O
8 8 8 32
Cartesian
0.2737 0.9709 0.0000
1.0436 10.7894 2.5821
2.9955 2.2894 0.1429
3.7655 9.4709 2.4392
4.3128 7.5290 0.0000
5.0827 14.7105 2.5821
7.0347 6.2105 0.1429
7.8046 16.0290 2.4392
0.5546 3.6938 3.2143
1.2454 7.5463 2.6362
2.7938 16.0463 0.1969
3.4845 12.1937 0.7751
4.5937 4.8062 3.2143
5.2845 0.9536 2.6362
6.8329 9.4536 0.1969
7.5237 13.3061 0.7751
1.9905 5.4522 0.0113
2.0023 9.5392 4.8183
2.0368 1.0393 2.3791
2.0486 13.9522 2.4506
6.0297 3.0477 0.0113
6.0415 15.9606 4.8183
6.0759 7.4607 2.3791
6.0877 11.5477 2.4506
0.6388 9.2050 4.1172
0.7121 14.4551 1.8282
0.7501 5.9821 4.0608
0.9898 0.1858 1.6378
1.7572 2.5417 2.1180
1.8764 5.8659 1.4879
1.9700 3.9181 4.6717
1.9732 9.2624 1.4746
2.0659 0.7624 3.9138
2.0691 12.4181 2.2325
2.1627 14.3658 3.9272
2.2819 11.0417 4.5572
3.0493 8.6858 4.0770
3.2890 14.4820 1.6215
3.3271 5.9551 4.2674
3.4004 0.7051 1.6779
4.6779 16.2948 4.1172
4.7512 11.0448 1.8282
4.7893 2.5179 4.0608
5.0289 8.3141 1.6378
5.7964 5.9582 2.1180
5.9155 2.6340 1.4879
6.0091 4.5818 4.6717
6.0123 16.2375 1.4746
6.1051 7.7375 3.9138
6.1082 13.0818 2.2325
6.2019 11.1340 3.9272
6.3210 14.4582 4.5572
7.0885 16.8141 4.0770
7.3281 11.0178 1.6215
7.3662 2.5448 4.2674
7.4395 7.7949 1.6779
```

=====

Entry 3:
Structure and simulated PXRD pattern of LiFeP2O7 (DFT lattice parameters and positions (GGA+U); Cu Kα, 1.54184 Å).
Kinematic intensities with the Lorentz-polarization factor, no thermal factor.

Main lines, in order of falling intensity (2θ = 10–90°):
Position (°2θ), I (rel.), (hkl)
21.0, 100, 1 1 0
20.7, 88, 0 2 0
21.6, 66, 1 1 -1
29.6, 51, 0 1 2
26.3, 46, 1 0 1
27.7, 45, 1 2 0
28.2, 42, 1 2 -1
42.2, 29, 1 3 -2
13.7, 21, 0 0 1
17.2, 17, 0 1 1

Structural model:
```
LiFeP2O7
1.0
5.1533 0.0000 0.0000
0.0000 8.5947 0.0000
-2.2275 0.0000 6.4444
Li Fe P O
2 2 4 14
Cartesian
0.7867 0.0000 1.2736
2.1391 4.2974 5.1708
0.8440 5.4864 2.1176
2.0818 1.1890 4.3268
-0.4602 2.5413 2.9525
-0.4706 5.9487 6.1202
3.3964 1.6514 0.3242
3.3861 6.8386 3.4919
-1.3650 6.7394 5.0267
-0.5079 6.7942 2.6044
0.8665 4.7641 0.2151
0.2258 3.9023 3.0539
0.4638 1.3334 3.2156
1.7313 6.9089 0.8985
2.0822 1.3086 0.9043
0.8437 5.6059 5.5401
1.1945 2.6116 5.5459
2.4620 5.6307 3.2288
2.7000 8.1996 3.3905
2.0593 0.4668 6.2293
3.4337 2.4969 3.8400
4.2908 2.4420 1.4177
```

=====

Entry 4:
Structure and simulated PXRD pattern of Li2FeP5O15 (DFT lattice parameters and positions (GGA+U); Cu Kα, 1.54184 Å).
Kinematic intensities with the Lorentz-polarization factor, no thermal factor.

Main lines, in order of falling intensity (2θ = 10–90°):
Position (°2θ), I (rel.), (hkl)
18.4, 100, 1 0 -1
20.5, 86, 0 0 2
25.8, 82, 1 2 1
10.2, 70, 0 0 1
16.7, 58, 0 2 1
22.3, 49, 0 3 1
22.7, 45, 1 2 -1
12.1, 42, 0 1 1
41.5, 40, 1 5 -2
32.0, 38, 1 4 0

Structural model:
```
Li2FeP5O15
1.0
5.1569 0.0000 0.0000
0.0000 13.4688 0.0000
-1.8219 0.0000 8.6681
Li Fe P O
4 2 10 30
Cartesian
0.1286 1.5625 0.8409
0.1286 5.1719 0.8409
3.2063 8.2969 7.8273
3.2063 11.9063 7.8273
1.6675 0.0000 4.3341
1.6675 6.7344 4.3341
-0.9356 1.9040 4.4780
-0.9356 4.8304 4.4780
0.2737 1.0338 7.0723
0.2737 5.7006 7.0723
0.5487 10.1016 8.5505
2.7862 3.3672 0.1176
3.0613 7.7682 1.5958
3.0613 12.4351 1.5958
4.2705 8.6384 4.1902
4.2705 11.5648 4.1902
-0.5522 3.3672 3.9777
-0.5495 1.9607 6.0212
-0.5495 4.7737 6.0212
-0.0069 0.9849 3.7127
-0.0069 5.7495 3.7127
-0.7052 0.4311 8.0228
-0.7052 6.3033 8.0228
-0.6116 10.1016 7.6068
1.3613 3.3672 0.5726
0.6005 8.4481 4.3183
0.6005 11.7551 4.3183
2.1027 8.8471 0.9005
2.1027 11.3561 0.9005
1.1930 0.1266 6.2818
1.1930 6.6078 6.2818
2.1419 6.8610 2.3864
2.1419 13.3422 2.3864
1.2323 2.1127 7.7677
1.2323 4.6217 7.7677
2.7344 1.7137 4.3498
2.7344 5.0207 4.3498
1.9736 10.1016 8.0956
3.9465 3.3672 1.0613
4.0402 7.1655 0.6454
4.0402 13.0377 0.6454
3.3419 7.7193 4.9554
3.3419 12.4839 4.9554
3.8844 8.6952 2.6469
3.8844 11.5081 2.6469
3.8872 10.1016 4.6904
```